Simulated X-ray diffraction stick pattern of BaLuCo4O7 for Cu Kα, from DFT lattice parameters and positions (PBE+U).
Kinematic intensities with the Lorentz-polarization factor, no thermal factor.

Peak list (6 most intense, 2θ from 5° to 70°, sorted by position)
- (1 3 0), 28.27 deg, I = 64
- (1 1 -3), 30.62 deg, I = 100
- (1 1 3), 30.80 deg, I = 55
- (1 3 -2), 33.19 deg, I = 52
- (1 3 2), 33.30 deg, I = 60
- (0 4 5), 55.65 deg, I = 43

Structure:
a = 6.244 Å, b = 10.978 Å, c = 10.348 Å
α = 90.00°, β = 90.43°, γ = 90.00°
Space group Cc (No. 9)
Symmetry-distinct sites (fractional):
Ba1 0.000 0.169 0.000 (multiplicity 4)
Lu1 0.006 0.172 0.376 (multiplicity 4)
Co1 0.005 0.497 0.938 (multiplicity 4)
Co2 0.014 0.330 0.685 (multiplicity 4)
Co3 0.244 0.080 0.684 (multiplicity 4)
Co4 0.261 0.408 0.187 (multiplicity 4)
O1 0.002 0.498 0.246 (multiplicity 4)
O2 0.011 0.002 0.251 (multiplicity 4)
O3 0.021 0.335 0.497 (multiplicity 4)
O4 0.234 0.071 0.504 (multiplicity 4)
O5 0.235 0.389 0.998 (multiplicity 4)
O6 0.283 0.251 0.274 (multiplicity 4)
O7 0.290 0.246 0.729 (multiplicity 4)